For YThCuGe, a crystal structure in Alexandria, relaxed with PBE gives the theoretical XRD peak list in this record (Cu Kα (λ = 1.5418 Å)).

Crystal structure
Cell: 5.0678 5.0678 5.0678 Å, 60.00 60.00 60.00°
Positions (direct):
1 Y 0.0000 0.0000 0.0000
2 Th 0.5000 0.5000 0.5000
3 Cu 0.2500 0.2500 0.2500
4 Ge 0.7500 0.7500 0.7500

Most intense lines, 5° ≤ 2θ ≤ 70°, sorted by position:
2θ/deg, I_rel
21.48, 18
24.85, 17
35.43, 100
41.80, 11
43.75, 5
50.97, 18
55.92, 5
57.51, 7
63.60, 36
67.96, 4

=====

For Ti4CuGe3, a crystal structure in Alexandria, relaxed with PBE gives the theoretical XRD peak list in this record (Cu Kα (λ = 1.5418 Å)).

Crystal structure
Cell: 7.4674 7.4674 7.4674 Å, 96.45 96.45 140.83°
Positions (direct):
1 Ti 0.0818 0.7812 0.8630
2 Ti 0.2188 0.0818 0.3006
3 Ti 0.2812 0.5818 0.8630
4 Ti 0.4182 0.2812 0.6994
5 Ti 0.5818 0.7188 0.3006
6 Ti 0.7188 0.4182 0.1370
7 Ti 0.7812 0.9182 0.6994
8 Ti 0.9182 0.2188 0.1370
9 Cu 0.2500 0.7500 0.5000
10 Cu 0.7500 0.2500 0.5000
11 Ge 0.1562 0.3438 0.5000
12 Ge 0.2500 0.2500 0.0000
13 Ge 0.3438 0.8438 0.1877
14 Ge 0.6562 0.1562 0.8123
15 Ge 0.7500 0.7500 0.0000
16 Ge 0.8438 0.6562 0.5000

Most intense lines, 5° ≤ 2θ ≤ 70°, sorted by position:
2θ/deg, I_rel
26.81, 22
35.88, 18
37.20, 57
40.34, 77
40.55, 89
41.54, 100
44.42, 45
51.82, 33
52.82, 31
68.34, 21

=====

For TmCu4Ge2, a crystal structure in Alexandria, relaxed with PBE gives the theoretical XRD peak list in this record (Cu Kα (λ = 1.5418 Å)).

Crystal structure
Cell: 7.3441 7.3441 3.9623 Å, 90.00 90.00 90.00°
Positions (direct):
1 Tm 0.0000 0.0000 0.0000
2 Tm 0.5000 0.5000 0.5000
3 Cu 0.0916 0.3471 0.5000
4 Cu 0.1529 0.5916 0.0000
5 Cu 0.3471 0.0916 0.5000
6 Cu 0.4084 0.8471 0.0000
7 Cu 0.5916 0.1529 0.0000
8 Cu 0.6529 0.9084 0.5000
9 Cu 0.8471 0.4084 0.0000
10 Cu 0.9084 0.6529 0.5000
11 Ge 0.2162 0.7838 0.5000
12 Ge 0.2838 0.2838 0.0000
13 Ge 0.7162 0.7162 0.0000
14 Ge 0.7838 0.2162 0.5000

Most intense lines, 5° ≤ 2θ ≤ 70°, sorted by position:
2θ/deg, I_rel
25.54, 16
34.54, 24
35.50, 100
38.77, 41
41.58, 31
45.26, 43
45.80, 30
51.29, 14
61.52, 20
68.08, 21

=====

For TmCu9Ge2, a crystal structure in Alexandria, relaxed with PBE gives the theoretical XRD peak list in this record (Cu Kα (λ = 1.5418 Å)).

Crystal structure
Cell: 8.4036 8.4036 8.4036 Å, 34.67 34.67 34.67°
Positions (direct):
1 Tm 0.0000 0.0000 0.0000
2 Cu 0.0800 0.5884 0.5884
3 Cu 0.3344 0.3344 0.3344
4 Cu 0.4116 0.4116 0.9200
5 Cu 0.4116 0.9200 0.4116
6 Cu 0.5000 0.5000 0.5000
7 Cu 0.5884 0.0800 0.5884
8 Cu 0.5884 0.5884 0.0800
9 Cu 0.6656 0.6656 0.6656
10 Cu 0.9200 0.4116 0.4116
11 Ge 0.1441 0.1441 0.1441
12 Ge 0.8559 0.8559 0.8559

Most intense lines, 5° ≤ 2θ ≤ 70°, sorted by position:
2θ/deg, I_rel
11.21, 7
33.61, 21
35.87, 33
36.77, 22
41.84, 33
42.38, 15
42.78, 100
46.02, 35
63.02, 8
69.22, 22

=====

For Tm3Cu7Ge4, a crystal structure in Alexandria, relaxed with PBE gives the theoretical XRD peak list in this record (Cu Kα (λ = 1.5418 Å)).

Crystal structure
Cell: 7.8103 7.8103 9.0953 Å, 125.23 125.23 30.59°
Positions (direct):
1 Tm 0.0000 0.0000 0.0000
2 Tm 0.3042 0.3042 0.3057
3 Tm 0.6958 0.6958 0.6943
4 Cu 0.0000 0.0000 0.5000
5 Cu 0.1396 0.1396 0.4114
6 Cu 0.3324 0.3324 0.9781
7 Cu 0.4965 0.4965 0.6879
8 Cu 0.5035 0.5035 0.3121
9 Cu 0.6676 0.6676 0.0219
10 Cu 0.8604 0.8604 0.5886
11 Ge 0.1241 0.1241 0.8420
12 Ge 0.3402 0.3402 0.7141
13 Ge 0.6598 0.6598 0.2859
14 Ge 0.8759 0.8759 0.1580

Most intense lines, 5° ≤ 2θ ≤ 70°, sorted by position:
2θ/deg, I_rel
23.71, 16
31.06, 28
36.84, 100
37.03, 74
37.25, 20
38.21, 16
39.90, 15
43.95, 45
45.05, 20
46.20, 16

=====

For UCuGe2, a crystal structure in Alexandria, relaxed with PBE gives the theoretical XRD peak list in this record (Cu Kα (λ = 1.5418 Å)).

Crystal structure
Cell: 9.2883 9.2883 9.2883 Å, 154.77 154.77 35.98°
Positions (direct):
1 U 0.1194 0.1194 0.0000
2 U 0.8806 0.8806 0.0000
3 Cu 0.2500 0.7500 0.5000
4 Cu 0.7500 0.2500 0.5000
5 Ge 0.0000 0.5000 0.5000
6 Ge 0.3382 0.3382 0.0000
7 Ge 0.5000 0.0000 0.5000
8 Ge 0.6618 0.6618 0.0000

Most intense lines, 5° ≤ 2θ ≤ 70°, sorted by position:
2θ/deg, I_rel
22.49, 33
31.18, 12
33.63, 35
37.38, 100
40.86, 13
44.68, 35
51.73, 18
57.07, 16
62.14, 17
65.03, 11

=====

For U3Cu4Ge4, a crystal structure in Alexandria, relaxed with PBE gives the theoretical XRD peak list in this record (Cu Kα (λ = 1.5418 Å)).

Crystal structure
Cell: 8.2961 6.2764 6.2764 Å, 37.66 90.00 90.00°
Positions (direct):
1 U 0.0000 0.0000 0.0000
2 U 0.2604 0.1222 0.1222
3 U 0.7396 0.1222 0.1222
4 Cu 0.0000 0.3166 0.3166
5 Cu 0.2573 0.8162 0.8162
6 Cu 0.5000 0.3225 0.3225
7 Cu 0.7427 0.8162 0.8162
8 Ge 0.0000 0.6921 0.6921
9 Ge 0.2516 0.4360 0.4360
10 Ge 0.5000 0.6882 0.6882
11 Ge 0.7484 0.4360 0.4360

Most intense lines, 5° ≤ 2θ ≤ 70°, sorted by position:
2θ/deg, I_rel
10.66, 15
18.37, 13
23.20, 27
31.59, 21
37.23, 21
38.49, 100
43.64, 22
44.74, 22
51.11, 13
64.28, 16

=====

For Y2Cu2Ge3, a crystal structure in Alexandria, relaxed with PBE gives the theoretical XRD peak list in this record (Cu Kα (λ = 1.5418 Å)).

Crystal structure
Cell: 9.2957 9.2957 6.7473 Å, 90.00 90.00 153.54°
Positions (direct):
1 Y 0.0514 0.9486 0.7500
2 Y 0.1572 0.8428 0.2500
3 Y 0.8428 0.1572 0.7500
4 Y 0.9486 0.0514 0.2500
5 Cu 0.3072 0.6928 0.0607
6 Cu 0.3072 0.6928 0.4393
7 Cu 0.6928 0.3072 0.5607
8 Cu 0.6928 0.3072 0.9393
9 Ge 0.2222 0.7778 0.7500
10 Ge 0.4347 0.5653 0.5608
11 Ge 0.4347 0.5653 0.9392
12 Ge 0.5653 0.4347 0.0608
13 Ge 0.5653 0.4347 0.4392
14 Ge 0.7778 0.2222 0.2500

Most intense lines, 5° ≤ 2θ ≤ 70°, sorted by position:
2θ/deg, I_rel
32.52, 26
34.28, 100
35.16, 96
37.13, 16
39.85, 25
42.50, 50
45.01, 38
48.19, 18
49.30, 21
63.62, 26

=====

For Y2CuGe3, a crystal structure in Alexandria, relaxed with PBE gives the theoretical XRD peak list in this record (Cu Kα (λ = 1.5418 Å)).

Crystal structure
Cell: 4.0505 4.2412 7.1015 Å, 90.00 90.00 90.00°
Positions (direct):
1 Y 0.0000 0.0000 0.0000
2 Y 0.0000 0.5000 0.4920
3 Cu 0.5000 0.5000 0.8189
4 Ge 0.5000 0.0000 0.3327
5 Ge 0.5000 0.0000 0.6801
6 Ge 0.5000 0.5000 0.1484

Most intense lines, 5° ≤ 2θ ≤ 70°, sorted by position:
2θ/deg, I_rel
21.94, 9
33.08, 100
33.56, 51
42.64, 26
43.80, 47
44.75, 23
55.32, 24
56.60, 9
63.52, 16
64.41, 29

=====

For Y2Zn3Cu12Ge, a crystal structure in Alexandria, relaxed with PBE gives the theoretical XRD peak list in this record (Cu Kα (λ = 1.5418 Å)).

Crystal structure
Cell: 9.5383 9.5383 9.5383 Å, 37.79 37.79 37.79°
Positions (direct):
1 Y 0.1465 0.1465 0.1465
2 Y 0.8535 0.8535 0.8535
3 Zn 0.0000 0.5000 0.5000
4 Zn 0.5000 0.0000 0.5000
5 Zn 0.5000 0.5000 0.0000
6 Cu 0.0806 0.0806 0.6941
7 Cu 0.0806 0.6941 0.0806
8 Cu 0.1201 0.5885 0.5885
9 Cu 0.3059 0.9194 0.9194
10 Cu 0.4115 0.4115 0.8799
11 Cu 0.4115 0.8799 0.4115
12 Cu 0.5885 0.1201 0.5885
13 Cu 0.5885 0.5885 0.1201
14 Cu 0.6941 0.0806 0.0806
15 Cu 0.8799 0.4115 0.4115
16 Cu 0.9194 0.3059 0.9194
17 Cu 0.9194 0.9194 0.3059
18 Ge 0.5000 0.5000 0.5000

Most intense lines, 5° ≤ 2θ ≤ 70°, sorted by position:
2θ/deg, I_rel
30.66, 88
33.67, 41
34.19, 55
35.45, 40
36.21, 73
37.84, 57
41.04, 58
43.46, 100
48.31, 48
59.89, 64

=====

For Zn8Cu6Ge, a crystal structure in Alexandria, relaxed with PBE gives the theoretical XRD peak list in this record (Cu Kα (λ = 1.5418 Å)).

Crystal structure
Cell: 6.5403 6.5403 6.5403 Å, 65.87 65.87 65.87°
Positions (direct):
1 Zn 0.0322 0.3802 0.7192
2 Zn 0.1638 0.1638 0.1638
3 Zn 0.2808 0.9678 0.6198
4 Zn 0.3802 0.7192 0.0322
5 Zn 0.6198 0.2808 0.9678
6 Zn 0.7192 0.0322 0.3802
7 Zn 0.8362 0.8362 0.8362
8 Zn 0.9678 0.6198 0.2808
9 Cu 0.1219 0.7856 0.4562
10 Cu 0.2144 0.5438 0.8781
11 Cu 0.4562 0.1219 0.7856
12 Cu 0.5438 0.8781 0.2144
13 Cu 0.7856 0.4562 0.1219
14 Cu 0.8781 0.2144 0.5438
15 Ge 0.5000 0.5000 0.5000

Most intense lines, 5° ≤ 2θ ≤ 70°, sorted by position:
2θ/deg, I_rel
17.42, 12
25.04, 16
30.67, 23
43.74, 100
44.11, 92
47.77, 5
51.39, 2
54.68, 4
60.45, 3
63.86, 30

=====

For Zn3Cu7Ge2, a crystal structure in Alexandria, relaxed with PBE gives the theoretical XRD peak list in this record (Cu Kα (λ = 1.5418 Å)).

Crystal structure
Cell: 4.7325 4.9782 7.7181 Å, 95.83 93.56 113.85°
Positions (direct):
1 Zn 0.0000 0.0000 0.0000
2 Zn 0.0190 0.0265 0.6716
3 Zn 0.9810 0.9735 0.3284
4 Cu 0.0311 0.5363 0.8282
5 Cu 0.2650 0.7451 0.4988
6 Cu 0.4703 0.9615 0.1716
7 Cu 0.5000 0.5000 0.0000
8 Cu 0.5297 0.0385 0.8284
9 Cu 0.7350 0.2549 0.5012
10 Cu 0.9689 0.4637 0.1718
11 Ge 0.4748 0.4654 0.3064
12 Ge 0.5252 0.5346 0.6936

Most intense lines, 5° ≤ 2θ ≤ 70°, sorted by position:
2θ/deg, I_rel
34.25, 23
38.69, 29
39.99, 44
41.56, 100
42.02, 42
42.27, 95
43.40, 31
44.61, 83
45.08, 23
45.88, 31

=====

For Zn5Cu6Ge, a crystal structure in Alexandria, relaxed with PBE gives the theoretical XRD peak list in this record (Cu Kα (λ = 1.5418 Å)).

Crystal structure
Cell: 4.5677 5.4196 6.6136 Å, 90.00 103.51 90.00°
Positions (direct):
1 Zn 0.0000 0.0000 0.0000
2 Zn 0.2405 0.0000 0.6637
3 Zn 0.2399 0.5000 0.6579
4 Zn 0.7595 0.0000 0.3363
5 Zn 0.7601 0.5000 0.3421
6 Cu 0.2699 0.2472 0.3292
7 Cu 0.2699 0.7528 0.3292
8 Cu 0.5000 0.2500 0.0000
9 Cu 0.5000 0.7500 0.0000
10 Cu 0.7301 0.2472 0.6708
11 Cu 0.7301 0.7528 0.6708
12 Ge 0.0000 0.5000 0.0000

Most intense lines, 5° ≤ 2θ ≤ 70°, sorted by position:
2θ/deg, I_rel
38.93, 28
39.74, 38
42.16, 69
43.14, 100
43.80, 36
45.43, 86
46.26, 31
54.72, 9
55.51, 9
69.36, 14